The following is a theoretical X-ray powder pattern of CsNi2F6. It was derived from a crystal structure in Alexandria, relaxed with PBE+U, using λ = 1.5418 Å (Cu Kα).
Lines closer than 0.1° are merged.

Peak list (10 most intense, 2θ from 10° to 80°, sorted by position)
2θ = 24.38°, intensity 58; 2θ = 28.40°, intensity 75; 2θ = 28.68°, intensity 100; 2θ = 28.78°, intensity 34; 2θ = 29.73°, intensity 19; 2θ = 30.07°, intensity 21; 2θ = 45.25°, intensity 28; 2θ = 45.81°, intensity 28; 2θ = 49.92°, intensity 52; 2θ = 58.79°, intensity 22

Cell and atoms:
a b c (Å): 7.3090 7.3090 7.3090
angles (deg): 120.25 119.11 90.55
Sites, in units of the cell vectors:
Cs 0.3739 0.1239 0.2500
Cs 0.6261 0.8761 0.7500
Ni 0.0000 0.0000 0.5000
Ni 0.0000 0.5000 0.0000
Ni 0.0000 0.5000 0.5000
Ni 0.5000 0.5000 0.0000
F 0.0774 0.4373 0.2671
F 0.0774 0.8103 0.6402
F 0.0778 0.8278 0.2500
F 0.3123 0.5623 0.7500
F 0.3298 0.1897 0.7671
F 0.3298 0.5627 0.1402
F 0.6702 0.4373 0.8598
F 0.6702 0.8103 0.2329
F 0.6877 0.4377 0.2500
F 0.9222 0.1722 0.7500
F 0.9226 0.1897 0.3598
F 0.9226 0.5627 0.7329